# 1
This entry pairs a crystal structure of PuRe4Se8 with its simulated X-ray diffraction stick pattern. Radiation: copper Kα. Structure: a DFT-relaxed cell (PBE, Alexandria).

Atomic structure:
Lattice parameters (Å, degrees): 7.4744 7.4744 18.3631 90.00 90.00 120.00
Space group R-3m (No. 166, hexagonal axes)
One atom of each set of equivalent atoms:
Pu: 0.0000 0.0000 0.0000
Re: 0.0000 0.0000 0.5000
Re: 0.0000 0.5000 0.5000
Se: 0.0000 0.0000 0.2422
Se: 0.0107 0.5054 0.2426

Peak list (6 most intense, 2θ from 10° to 90°, sorted by position)
two_theta, I/Imax
14.48, 491
27.98, 255
33.89, 1000
48.63, 348
48.73, 364
60.68, 186


# 2
This entry pairs a crystal structure of Pu3Re2Si9 with its simulated X-ray diffraction stick pattern. Radiation: copper Kα. Structure: a DFT-relaxed cell (PBE, Alexandria).

Atomic structure:
Lattice parameters (Å, degrees): 4.139 9.696 11.409 90.00 90.00 90.00
Space group Immm (No. 71)
One atom of each set of equivalent atoms:
Pu: 0.000 0.000 0.000
Pu: 0.000 0.000 0.316
Re: 0.000 0.213 0.500
Si: 0.000 0.278 0.129
Si: 0.000 0.373 0.336
Si: 0.000 0.500 0.000

Peak list (6 most intense, 2θ from 10° to 90°, sorted by position)
two_theta, I/Imax
23.37, 465
25.15, 225
36.48, 306
37.08, 1000
43.74, 191
66.83, 167


# 3
This entry pairs a crystal structure of PuRe2Si2 with its simulated X-ray diffraction stick pattern. Radiation: copper Kα. Structure: a DFT-relaxed cell (PBE, Alexandria).

Atomic structure:
Lattice parameters (Å, degrees): 4.050 4.106 20.872 90.00 90.00 90.00
Space group Imma (No. 74)
One atom of each set of equivalent atoms:
Pu: 0.000 0.250 0.165
Re: 0.000 0.250 0.457
Re: 0.000 0.250 0.962
Si: 0.000 0.250 0.610
Si: 0.000 0.250 0.723

Peak list (6 most intense, 2θ from 10° to 90°, sorted by position)
two_theta, I/Imax
22.06, 150
25.45, 162
35.57, 1000
40.64, 371
44.11, 223
44.76, 214


# 4
This entry pairs a crystal structure of TbPuRe with its simulated X-ray diffraction stick pattern. Radiation: copper Kα. Structure: a DFT-relaxed cell (PBE, Alexandria).

Atomic structure:
Lattice parameters (Å, degrees): 3.361 3.361 12.412 90.00 90.00 90.00
Space group I4mm (No. 107)
One atom of each set of equivalent atoms:
Tb: 0.000 0.000 0.000
Pu: 0.000 0.000 0.277
Re: 0.000 0.000 0.647

Peak list (6 most intense, 2θ from 10° to 90°, sorted by position)
two_theta, I/Imax
14.27, 165
34.38, 1000
37.86, 473
45.42, 194
54.62, 167
66.15, 308


# 5
This entry pairs a crystal structure of PuTiRe2 with its simulated X-ray diffraction stick pattern. Radiation: copper Kα. Structure: a DFT-relaxed cell (PBE, Alexandria).

Atomic structure:
Lattice parameters (Å, degrees): 4.606 4.606 3.209 90.00 90.00 90.00
Space group P4/mmm (No. 123)
One atom of each set of equivalent atoms:
Pu: 0.000 0.000 0.000
Ti: 0.500 0.500 0.000
Re: 0.000 0.500 0.500

Peak list (6 most intense, 2θ from 10° to 90°, sorted by position)
two_theta, I/Imax
19.27, 237
39.12, 511
39.42, 1000
56.52, 177
71.08, 358
71.68, 175


# 6
This entry pairs a crystal structure of YPuRe4 with its simulated X-ray diffraction stick pattern. Radiation: copper Kα. Structure: a DFT-relaxed cell (PBE, Alexandria).

Atomic structure:
Lattice parameters (Å, degrees): 7.666 7.666 7.666 90.00 90.00 90.00
Space group F-43m (No. 216)
One atom of each set of equivalent atoms:
Y: 0.000 0.000 0.000
Pu: 0.250 0.250 0.250
Re: 0.125 0.125 0.625

Peak list (6 most intense, 2θ from 10° to 90°, sorted by position)
two_theta, I/Imax
33.05, 224
38.97, 1000
40.78, 450
63.01, 332
69.35, 286
83.69, 176


# 7
This entry pairs a crystal structure of PuRh4 with its simulated X-ray diffraction stick pattern. Radiation: copper Kα. Structure: a DFT-relaxed cell (PBE, Alexandria).

Atomic structure:
Lattice parameters (Å, degrees): 8.911 8.911 8.911 90.00 90.00 90.00
Space group I-43m (No. 217)
One atom of each set of equivalent atoms:
Pu: 0.224 0.224 0.224
Rh: 0.000 0.000 0.353
Rh: 0.000 0.250 0.500
Rh: 0.107 0.107 0.893

Peak list (6 most intense, 2θ from 10° to 90°, sorted by position)
two_theta, I/Imax
28.33, 527
34.88, 1000
37.77, 565
40.49, 286
43.07, 854
64.46, 355


# 8
This entry pairs a crystal structure of Pu4Rh3 with its simulated X-ray diffraction stick pattern. Radiation: copper Kα. Structure: a DFT-relaxed cell (PBE, Alexandria).

Atomic structure:
Lattice parameters (Å, degrees): 4.8219 4.8219 23.3423 90.00 90.00 120.00
Space group R-3m (No. 166, hexagonal axes)
One atom of each set of equivalent atoms:
Pu: 0.0000 0.0000 0.1222
Pu: 0.0000 0.0000 0.3741
Rh: 0.0000 0.0000 0.2489
Rh: 0.0000 0.0000 0.5000

Peak list (6 most intense, 2θ from 10° to 90°, sorted by position)
two_theta, I/Imax
26.24, 585
37.30, 1000
37.61, 970
54.00, 347
67.26, 182
67.47, 359


# 9
This entry pairs a crystal structure of Pu5Rh4 with its simulated X-ray diffraction stick pattern. Radiation: copper Kα. Structure: a DFT-relaxed cell (PBE, Alexandria).

Atomic structure:
Lattice parameters (Å, degrees): 10.753 4.042 9.827 90.00 112.67 90.00
Space group C2/m (No. 12)
One atom of each set of equivalent atoms:
Pu: 0.000 0.000 0.000
Pu: 0.104 0.000 0.396
Pu: 0.243 0.000 0.828
Rh: 0.042 0.500 0.841
Rh: 0.134 0.500 0.610

Peak list (6 most intense, 2θ from 10° to 90°, sorted by position)
two_theta, I/Imax
33.18, 1000
33.42, 764
33.58, 428
35.35, 579
38.73, 445
44.84, 495


# 10
This entry pairs a crystal structure of Pu5Rh2 with its simulated X-ray diffraction stick pattern. Radiation: copper Kα. Structure: a DFT-relaxed cell (PBE, Alexandria).

Atomic structure:
Lattice parameters (Å, degrees): 7.881 13.729 5.748 90.00 90.00 90.00
Space group Ibam (No. 72)
One atom of each set of equivalent atoms:
Pu: 0.000 0.000 0.250
Pu: 0.000 0.220 0.250
Pu: 0.157 0.413 0.000
Rh: 0.206 0.378 0.500

Peak list (6 most intense, 2θ from 10° to 90°, sorted by position)
two_theta, I/Imax
33.83, 754
34.62, 1000
34.77, 437
38.78, 548
40.96, 473
58.25, 401


# 11
This entry pairs a crystal structure of Pu7RuRh4 with its simulated X-ray diffraction stick pattern. Radiation: copper Kα. Structure: a DFT-relaxed cell (PBE, Alexandria).

Atomic structure:
Lattice parameters (Å, degrees): 10.513 5.294 8.804 90.00 94.71 90.00
Space group C2/m (No. 12)
One atom of each set of equivalent atoms:
Pu: 0.000 0.000 0.000
Pu: 0.005 0.500 0.675
Pu: 0.239 0.000 0.571
Pu: 0.248 0.500 0.132
Ru: 0.000 0.500 0.000
Rh: 0.031 0.000 0.346
Rh: 0.248 0.500 0.798

Peak list (6 most intense, 2θ from 10° to 90°, sorted by position)
two_theta, I/Imax
33.86, 1000
34.23, 581
36.39, 312
48.64, 265
48.92, 432
50.56, 248


# 12
This entry pairs a crystal structure of PuThRuRh with its simulated X-ray diffraction stick pattern. Radiation: copper Kα. Structure: a DFT-relaxed cell (PBE, Alexandria).

Atomic structure:
Lattice parameters (Å, degrees): 6.971 6.971 6.971 90.00 90.00 90.00
Space group F-43m (No. 216)
One atom of each set of equivalent atoms:
Pu: 0.000 0.000 0.000
Th: 0.000 0.000 0.500
Ru: 0.250 0.250 0.250
Rh: 0.250 0.250 0.750

Peak list (6 most intense, 2θ from 10° to 90°, sorted by position)
two_theta, I/Imax
25.56, 165
36.46, 1000
52.51, 178
65.61, 366
77.45, 115
88.77, 170